Entry 1:
# Ca3SiO5
Simulated powder diffractogram, CuKα. Input: DFT lattice parameters and positions (GGA-PBE).
Kinematic intensities with the Lorentz-polarization factor, no thermal factor.

Peak list (10 most intense, 5° ≤ 2θ ≤ 70°, most intense first)
| 2θ/deg | Rel. int. |
| --- | --- |
| 32.39 | 100.0 |
| 32.16 | 70.1 |
| 34.02 | 61.6 |
| 29.14 | 61.5 |
| 51.06 | 38.5 |
| 40.93 | 30.7 |
| 51.53 | 30.6 |
| 38.60 | 28.5 |
| 38.49 | 25.6 |
| 34.47 | 25.4 |

a b c (Å): 7.0952 7.0952 9.2582
angles (deg): 111.91 111.91 60.56
Fractional positions:
Ca (0.0000, 0.0000, 0.0000)
Ca (0.0132, 0.5143, 0.9475)
Ca (0.0289, 0.5576, 0.5883)
Ca (0.2630, 0.7417, 0.3083)
Ca (0.5143, 0.0132, 0.9475)
Ca (0.5576, 0.0289, 0.5883)
Ca (0.5867, 0.5867, 0.6454)
Ca (0.7207, 0.7207, 0.2470)
Ca (0.7417, 0.2630, 0.3083)
Si (0.0565, 0.0565, 0.6450)
Si (0.2717, 0.2717, 0.3030)
Si (0.4789, 0.4789, 0.9385)
O (0.0054, 0.3767, 0.2933)
O (0.1034, 0.1034, 0.8424)
O (0.2871, 0.6624, 0.0390)
O (0.3001, 0.9209, 0.5990)
O (0.3222, 0.3222, 0.1639)
O (0.3551, 0.3551, 0.7707)
O (0.3767, 0.0054, 0.2933)
O (0.3895, 0.3895, 0.4787)
O (0.6090, 0.6090, 0.9212)
O (0.6351, 0.6351, 0.4274)
O (0.6624, 0.2871, 0.0390)
O (0.8019, 0.8019, 0.7962)
O (0.8779, 0.8779, 0.1650)
O (0.9080, 0.9080, 0.5367)
O (0.9209, 0.3001, 0.5990)

Entry 2:
# Rb2Cu2I4O
Simulated powder diffractogram, CuKα. Input: DFT lattice parameters and positions (GGA-PBE).
Kinematic intensities with the Lorentz-polarization factor, no thermal factor.

Peak list (10 most intense, 5° ≤ 2θ ≤ 70°, most intense first)
| 2θ/deg | Rel. int. |
| --- | --- |
| 26.93 | 100.0 |
| 25.63 | 65.1 |
| 28.40 | 63.1 |
| 12.20 | 44.9 |
| 13.23 | 35.9 |
| 24.16 | 31.4 |
| 29.05 | 27.0 |
| 31.08 | 26.1 |
| 26.26 | 21.2 |
| 44.55 | 20.8 |

a b c (Å): 7.5398 11.3992 14.5101
angles (deg): 90.00 90.00 90.00
Fractional positions:
Rb (0.0266, 0.2017, 0.3512)
Rb (0.1688, 0.1052, 0.9929)
Rb (0.3312, 0.8948, 0.4929)
Rb (0.4734, 0.7983, 0.8512)
Rb (0.5266, 0.2983, 0.6488)
Rb (0.6688, 0.3948, 0.0071)
Rb (0.8312, 0.6052, 0.5071)
Rb (0.9734, 0.7017, 0.1488)
Cu (0.0591, 0.4747, 0.7276)
Cu (0.0621, 0.2301, 0.7487)
Cu (0.4379, 0.7699, 0.2487)
Cu (0.4409, 0.5253, 0.2276)
Cu (0.5591, 0.0253, 0.2724)
Cu (0.5621, 0.2699, 0.2513)
Cu (0.9379, 0.7301, 0.7513)
Cu (0.9409, 0.9747, 0.7724)
I (0.0165, 0.3267, 0.5871)
I (0.2228, 0.6591, 0.6613)
I (0.2424, 0.9578, 0.2219)
I (0.2451, 0.3760, 0.8567)
I (0.2549, 0.6240, 0.3567)
I (0.2576, 0.0422, 0.7219)
I (0.2772, 0.3409, 0.1613)
I (0.4835, 0.6733, 0.0871)
I (0.5165, 0.1733, 0.4129)
I (0.7228, 0.8409, 0.3387)
I (0.7424, 0.5422, 0.7781)
I (0.7451, 0.1240, 0.1433)
I (0.7549, 0.8760, 0.6433)
I (0.7576, 0.4578, 0.2781)
I (0.7772, 0.1591, 0.8387)
I (0.9835, 0.8267, 0.9129)
O (0.0189, 0.0234, 0.4809)
O (0.4811, 0.9766, 0.9809)
O (0.5189, 0.4766, 0.5191)
O (0.9811, 0.5234, 0.0191)

Entry 3:
# Mg9Si5
Simulated powder diffractogram, CuKα. Input: DFT lattice parameters and positions (GGA-PBE).
Kinematic intensities with the Lorentz-polarization factor, no thermal factor.

Peak list (10 most intense, 5° ≤ 2θ ≤ 70°, most intense first)
| 2θ/deg | Rel. int. |
| --- | --- |
| 34.56 | 100.0 |
| 34.69 | 89.4 |
| 36.21 | 80.4 |
| 37.05 | 72.1 |
| 35.64 | 71.6 |
| 37.34 | 62.8 |
| 40.32 | 59.1 |
| 39.04 | 49.9 |
| 36.75 | 45.4 |
| 45.59 | 42.0 |

a b c (Å): 7.4367 7.6026 10.9168
angles (deg): 92.34 95.09 116.24
Fractional positions:
Mg (0.0000, 0.0000, 0.0000)
Mg (0.0042, 0.2901, 0.2307)
Mg (0.2176, 0.7070, 0.1932)
Mg (0.2184, 0.7370, 0.8846)
Mg (0.3599, 0.4285, 0.0176)
Mg (0.3807, 0.5098, 0.6893)
Mg (0.3901, 0.9801, 0.4245)
Mg (0.4405, 0.4442, 0.3188)
Mg (0.5084, 0.9605, 0.6981)
Mg (0.6141, 0.1025, 0.9847)
Mg (0.6483, 0.3735, 0.5712)
Mg (0.6551, 0.8851, 0.2338)
Mg (0.7027, 0.4549, 0.8485)
Mg (0.7766, 0.5706, 0.1396)
Mg (0.8767, 0.8241, 0.7083)
Mg (0.9130, 0.1519, 0.4934)
Mg (0.9269, 0.7183, 0.4300)
Mg (0.9685, 0.2523, 0.7768)
Si (0.0552, 0.5761, 0.6389)
Si (0.0631, 0.9699, 0.2488)
Si (0.2182, 0.5765, 0.4419)
Si (0.2335, 0.1097, 0.6105)
Si (0.2907, 0.1245, 0.8348)
Si (0.4031, 0.1087, 0.1743)
Si (0.5897, 0.7507, 0.5012)
Si (0.6137, 0.7589, 0.9064)
Si (0.6949, 0.2860, 0.3331)
Si (0.9882, 0.4230, 0.0096)